This entry pairs a crystal structure of CdSnAsP with its theoretical powder X-ray diffraction pattern. Radiation: Cu Kα (weighted mean of Kα1 and Kα2). Structure: DFT lattice parameters and positions (GGA-PBE).
Intensities are scaled so that the largest is 100.

Main lines, in order of rising 2θ (2θ from 15° to 90°):
Position (°2θ), d/Å, I (rel.)
25.53, 3.489, 100.0
25.60, 3.480, 33.7
41.99, 2.152, 30.6
42.43, 2.130, 29.9
42.57, 2.124, 29.6
49.77, 1.832, 31.8

Cell and atoms:
abc: 6.0866 6.0866 7.3270
angles: 114.38 114.38 90.00
Fractional positions:
Cd 0.1318 0.8682 0.5000
Cd 0.8682 0.1318 0.0000
Sn 0.3932 0.6318 0.0000
Sn 0.6318 0.3932 0.5000
As 0.0072 0.2611 0.7499
As 0.2611 0.0072 0.2499
P 0.5074 0.7515 0.7501
P 0.7515 0.5074 0.2501


This entry pairs a crystal structure of Er3Fe2Co6Ni with its theoretical powder X-ray diffraction pattern. Radiation: Cu Kα (weighted mean of Kα1 and Kα2). Structure: DFT lattice parameters and positions (GGA-PBE).
Intensities are scaled so that the largest is 100.

Main lines, in order of rising 2θ (2θ from 15° to 90°):
Position (°2θ), d/Å, I (rel.)
33.37, 2.685, 53.5
36.08, 2.490, 59.3
36.46, 2.464, 46.0
42.08, 2.147, 41.5
42.77, 2.114, 100.0
69.48, 1.353, 22.5

Cell and atoms:
abc: 8.5086 8.5086 8.5086
angles: 34.03 34.03 34.03
Fractional positions:
Er 0.0000 0.0000 0.0000
Er 0.1400 0.1400 0.1400
Er 0.8600 0.8600 0.8600
Fe 0.3344 0.3344 0.3344
Fe 0.6656 0.6656 0.6656
Co 0.0778 0.5828 0.5828
Co 0.4172 0.4172 0.9222
Co 0.4172 0.9222 0.4172
Co 0.5828 0.0778 0.5828
Co 0.5828 0.5828 0.0778
Co 0.9222 0.4172 0.4172
Ni 0.5000 0.5000 0.5000


This entry pairs a crystal structure of YAgPbSe2S with its theoretical powder X-ray diffraction pattern. Radiation: Cu Kα (weighted mean of Kα1 and Kα2). Structure: DFT lattice parameters and positions (GGA-PBE).
Intensities are scaled so that the largest is 100.

Main lines, in order of rising 2θ (2θ from 15° to 90°):
Position (°2θ), d/Å, I (rel.)
30.36, 2.944, 100.0
31.31, 2.857, 39.4
33.91, 2.644, 59.6
34.32, 2.613, 53.5
34.47, 2.602, 42.8
43.31, 2.089, 47.2

Cell and atoms:
abc: 7.1432 7.1432 10.4085
angles: 90.00 90.00 146.21
Fractional positions:
Y 0.0000 0.0000 0.0000
Y 0.0000 0.0000 0.5000
Ag 0.4711 0.5289 0.7500
Ag 0.5289 0.4711 0.2500
Pb 0.2560 0.7440 0.2500
Pb 0.7440 0.2560 0.7500
Se 0.3549 0.6451 0.5508
Se 0.3549 0.6451 0.9492
Se 0.6451 0.3549 0.0508
Se 0.6451 0.3549 0.4492
S 0.0829 0.9171 0.7500
S 0.9171 0.0829 0.2500


This entry pairs a crystal structure of Ag5Hg4P8Cl5 with its theoretical powder X-ray diffraction pattern. Radiation: Cu Kα (weighted mean of Kα1 and Kα2). Structure: DFT lattice parameters and positions (GGA-PBE).
Intensities are scaled so that the largest is 100.

Main lines, in order of rising 2θ (2θ from 15° to 90°):
Position (°2θ), d/Å, I (rel.)
21.53, 4.127, 27.0
25.87, 3.444, 35.9
28.05, 3.181, 24.9
28.96, 3.083, 52.3
30.67, 2.915, 100.0
45.83, 1.980, 39.5

Cell and atoms:
abc: 9.1710 9.1710 6.3444
angles: 100.77 100.77 74.55
Fractional positions:
Ag 0.0000 0.0000 0.0000
Ag 0.2960 0.2960 0.0550
Ag 0.3543 0.6457 0.0000
Ag 0.6457 0.3543 0.0000
Ag 0.7040 0.7040 0.9450
Hg 0.0178 0.6743 0.4670
Hg 0.3257 0.9822 0.5330
Hg 0.6743 0.0178 0.4670
Hg 0.9822 0.3257 0.5330
P 0.2597 0.2597 0.6592
P 0.2959 0.5988 0.6001
P 0.3583 0.3583 0.4455
P 0.4012 0.7041 0.3999
P 0.5988 0.2959 0.6001
P 0.6417 0.6417 0.5545
P 0.7041 0.4012 0.3999
P 0.7403 0.7403 0.3408
Cl 0.0000 0.0000 0.5000
Cl 0.0259 0.6968 0.9771
Cl 0.3032 0.9741 0.0229
Cl 0.6968 0.0259 0.9771
Cl 0.9741 0.3032 0.0229


This entry pairs a crystal structure of Dy2Sc2Br5N with its theoretical powder X-ray diffraction pattern. Radiation: Cu Kα (weighted mean of Kα1 and Kα2). Structure: DFT lattice parameters and positions (GGA-PBE).
Intensities are scaled so that the largest is 100.

Main lines, in order of rising 2θ (2θ from 15° to 90°):
Position (°2θ), d/Å, I (rel.)
22.90, 3.884, 30.1
24.96, 3.568, 37.3
31.03, 2.882, 57.0
33.30, 2.690, 100.0
35.78, 2.509, 34.8
46.16, 1.967, 62.7

Cell and atoms:
abc: 9.0541 9.0541 7.9704
angles: 102.58 102.58 23.24
Fractional positions:
Dy 0.0000 0.0000 0.2001
Dy 0.0000 0.0000 0.7999
Sc 0.3735 0.3735 0.9368
Sc 0.6265 0.6265 0.0632
Br 0.1646 0.1646 0.3225
Br 0.1660 0.1660 0.8401
Br 0.5000 0.5000 0.5000
Br 0.8340 0.8340 0.1599
Br 0.8354 0.8354 0.6775
N 0.5000 0.5000 0.0000


This entry pairs a crystal structure of NdCdB with its theoretical powder X-ray diffraction pattern. Radiation: Cu Kα (weighted mean of Kα1 and Kα2). Structure: DFT lattice parameters and positions (GGA-PBE).
Intensities are scaled so that the largest is 100.

Main lines, in order of rising 2θ (2θ from 15° to 90°):
Position (°2θ), d/Å, I (rel.)
28.29, 3.155, 100.0
40.43, 2.231, 86.4
50.08, 1.822, 27.5
58.51, 1.578, 14.2
66.24, 1.411, 35.0
73.53, 1.288, 28.5

Cell and atoms:
abc: 4.4620 4.4620 4.4620
angles: 60.00 60.00 60.00
Fractional positions:
Nd 0.0000 0.0000 0.0000
Cd 0.5000 0.5000 0.5000
B 0.7500 0.7500 0.7500


This entry pairs a crystal structure of ErSi2NiGe with its theoretical powder X-ray diffraction pattern. Radiation: Cu Kα (weighted mean of Kα1 and Kα2). Structure: DFT lattice parameters and positions (GGA-PBE).
Intensities are scaled so that the largest is 100.

Main lines, in order of rising 2θ (2θ from 15° to 90°):
Position (°2θ), d/Å, I (rel.)
25.97, 3.431, 26.5
31.06, 2.879, 19.8
33.74, 2.657, 23.4
34.30, 2.615, 100.0
44.91, 2.018, 36.4
46.23, 1.964, 20.2

Cell and atoms:
abc: 10.7644 10.7644 4.0371
angles: 90.00 90.00 158.98
Fractional positions:
Er 0.1703 0.8297 0.0000
Er 0.8297 0.1703 0.0000
Si 0.0568 0.9432 0.5000
Si 0.2819 0.7181 0.5000
Si 0.7181 0.2819 0.5000
Si 0.9432 0.0568 0.5000
Ni 0.3875 0.6125 0.5000
Ni 0.6125 0.3875 0.5000
Ge 0.4425 0.5575 0.0000
Ge 0.5575 0.4425 0.0000


This entry pairs a crystal structure of ZnGaTc with its theoretical powder X-ray diffraction pattern. Radiation: Cu Kα (weighted mean of Kα1 and Kα2). Structure: DFT lattice parameters and positions (GGA-PBE).
Intensities are scaled so that the largest is 100.

Main lines, in order of rising 2θ (2θ from 15° to 90°):
Position (°2θ), d/Å, I (rel.)
25.84, 3.448, 44.5
42.83, 2.112, 100.0
50.70, 1.801, 20.3
62.17, 1.493, 15.9
68.48, 1.370, 8.0
78.45, 1.219, 31.5

Cell and atoms:
abc: 4.2231 4.2231 4.2231
angles: 60.00 60.00 60.00
Fractional positions:
Zn 0.0000 0.0000 0.0000
Ga 0.5000 0.5000 0.5000
Tc 0.7500 0.7500 0.7500


This entry pairs a crystal structure of PmDyGa4 with its theoretical powder X-ray diffraction pattern. Radiation: Cu Kα (weighted mean of Kα1 and Kα2). Structure: DFT lattice parameters and positions (GGA-PBE).
Intensities are scaled so that the largest is 100.

Main lines, in order of rising 2θ (2θ from 15° to 90°):
Position (°2θ), d/Å, I (rel.)
24.24, 3.671, 13.0
32.55, 2.751, 100.0
42.66, 2.120, 41.6
54.67, 1.679, 22.8
62.63, 1.483, 25.9
71.72, 1.316, 20.0

Cell and atoms:
abc: 4.2391 4.2391 8.3066
angles: 90.00 90.00 120.00
Fractional positions:
Pm 0.0000 0.0000 0.0000
Dy 0.0000 0.0000 0.5000
Ga 0.3333 0.6667 0.2560
Ga 0.3333 0.6667 0.7440
Ga 0.6667 0.3333 0.2560
Ga 0.6667 0.3333 0.7440


This entry pairs a crystal structure of KCd8 with its theoretical powder X-ray diffraction pattern. Radiation: Cu Kα (weighted mean of Kα1 and Kα2). Structure: DFT lattice parameters and positions (GGA-PBE).
Intensities are scaled so that the largest is 100.

Main lines, in order of rising 2θ (2θ from 15° to 90°):
Position (°2θ), d/Å, I (rel.)
31.44, 2.845, 29.3
32.45, 2.759, 69.9
35.18, 2.551, 59.7
35.58, 2.523, 45.3
38.18, 2.357, 100.0
41.37, 2.183, 27.7

Cell and atoms:
abc: 11.8839 11.4737 6.4298
angles: 77.57 70.53 31.90
Fractional positions:
K 0.1250 0.1250 0.1250
K 0.8750 0.8750 0.8750
Cd 0.0545 0.6106 0.4154
Cd 0.1767 0.7859 0.3476
Cd 0.1898 0.3476 0.7859
Cd 0.2141 0.8233 0.8102
Cd 0.3476 0.1898 0.1767
Cd 0.3894 0.9455 0.5805
Cd 0.4154 0.4195 0.0545
Cd 0.4195 0.4154 0.6106
Cd 0.5805 0.5846 0.3894
Cd 0.5846 0.5805 0.9455
Cd 0.6106 0.0545 0.4195
Cd 0.6524 0.8102 0.8233
Cd 0.7859 0.1767 0.1898
Cd 0.8102 0.6524 0.2141
Cd 0.8233 0.2141 0.6524
Cd 0.9455 0.3894 0.5846


This entry pairs a crystal structure of BaLaZn4 with its theoretical powder X-ray diffraction pattern. Radiation: Cu Kα (weighted mean of Kα1 and Kα2). Structure: DFT lattice parameters and positions (GGA-PBE).
Intensities are scaled so that the largest is 100.

Main lines, in order of rising 2θ (2θ from 15° to 90°):
Position (°2θ), d/Å, I (rel.)
31.82, 2.813, 100.0
32.30, 2.772, 29.3
36.26, 2.478, 22.9
38.17, 2.357, 25.6
39.38, 2.288, 34.6
50.85, 1.796, 16.0

Cell and atoms:
abc: 6.0236 6.0236 6.0236
angles: 133.92 98.95 98.67
Fractional positions:
Ba 0.0000 0.0000 0.0000
La 0.5829 0.0829 0.5000
Zn 0.0170 0.7150 0.3020
Zn 0.2048 0.3836 0.8213
Zn 0.4130 0.7150 0.6980
Zn 0.5623 0.3836 0.1787


This entry pairs a crystal structure of ZrTl2Br6 with its theoretical powder X-ray diffraction pattern. Radiation: Cu Kα (weighted mean of Kα1 and Kα2). Structure: DFT lattice parameters and positions (GGA-PBE).
Intensities are scaled so that the largest is 100.

Main lines, in order of rising 2θ (2θ from 15° to 90°):
Position (°2θ), d/Å, I (rel.)
23.50, 3.786, 26.9
29.09, 3.070, 100.0
32.75, 2.735, 33.8
34.19, 2.623, 45.4
41.91, 2.156, 25.7
48.07, 1.893, 34.3

Cell and atoms:
abc: 7.4178 7.4178 10.9380
angles: 90.00 90.00 90.00
Fractional positions:
Zr 0.0000 0.0000 0.0000
Zr 0.5000 0.5000 0.5000
Tl 0.0000 0.5000 0.2500
Tl 0.0000 0.5000 0.7500
Tl 0.5000 0.0000 0.2500
Tl 0.5000 0.0000 0.7500
Br 0.0000 0.0000 0.2422
Br 0.0000 0.0000 0.7578
Br 0.1913 0.3004 0.0000
Br 0.1996 0.3087 0.5000
Br 0.3004 0.8087 0.0000
Br 0.3087 0.8004 0.5000
Br 0.5000 0.5000 0.2578
Br 0.5000 0.5000 0.7422
Br 0.6913 0.1996 0.5000
Br 0.6996 0.1913 0.0000
Br 0.8004 0.6913 0.5000
Br 0.8087 0.6996 0.0000